Entry 1:
The following is a simulated X-ray diffraction stick pattern of Sm2GeAsRh6. It was derived from DFT lattice parameters and positions (GGA-PBE), using Cu Kα (λ = 1.5418 Å).
Peak positions follow from Bragg's law for the DFT cell and can differ from measured ones.

Most intense lines, 2θ = 10–90°, in order of falling intensity:
- 2θ = 39.0°, I = 100.0
- 2θ = 42.9°, I = 90.7
- 2θ = 39.9°, I = 88.5
- 2θ = 28.5°, I = 82.3
- 2θ = 41.7°, I = 79.2
- 2θ = 30.3°, I = 66.5
- 2θ = 59.1°, I = 53.9
- 2θ = 34.6°, I = 47.9

Atomic structure:
Lattice parameters (Å, degrees): 5.458 8.660 8.064 90.00 90.00 90.00
Positions (direct):
Sm1 0.250 0.010 0.216
Sm2 0.250 0.490 0.216
Sm3 0.750 0.510 0.784
Sm4 0.750 0.990 0.784
Ge1 0.250 0.750 0.763
Ge2 0.750 0.250 0.237
As1 0.250 0.250 0.747
As2 0.750 0.750 0.253
Rh1 0.001 0.750 0.509
Rh2 0.004 0.750 0.013
Rh3 0.250 0.001 0.591
Rh4 0.250 0.499 0.591
Rh5 0.496 0.750 0.013
Rh6 0.499 0.750 0.509
Rh7 0.501 0.250 0.491
Rh8 0.504 0.250 0.987
Rh9 0.750 0.501 0.409
Rh10 0.750 0.999 0.409
Rh11 0.996 0.250 0.987
Rh12 0.999 0.250 0.491

---

Entry 2:
The following is a simulated X-ray diffraction stick pattern of Tb3GeAs2Rh9. It was derived from DFT lattice parameters and positions (GGA-PBE), using Cu Kα (λ = 1.5418 Å).
Peak positions follow from Bragg's law for the DFT cell and can differ from measured ones.

Most intense lines, 2θ = 10–90°, in order of falling intensity:
- 2θ = 38.9°, I = 100.0
- 2θ = 34.4°, I = 73.3
- 2θ = 10.2°, I = 30.5
- 2θ = 58.5°, I = 28.1
- 2θ = 45.6°, I = 24.4
- 2θ = 28.3°, I = 18.7
- 2θ = 41.5°, I = 17.7
- 2θ = 48.8°, I = 17.5

Atomic structure:
Lattice parameters (Å, degrees): 6.307 6.307 8.712 90.00 90.00 120.00
Positions (direct):
Tb1 0.000 0.000 0.000
Tb2 0.333 0.667 0.722
Tb3 0.667 0.333 0.278
Ge1 0.000 0.000 0.500
As1 0.333 0.667 0.179
As2 0.667 0.333 0.821
Rh1 0.000 0.500 0.000
Rh2 0.141 0.283 0.281
Rh3 0.141 0.859 0.281
Rh4 0.283 0.141 0.719
Rh5 0.500 0.000 0.000
Rh6 0.500 0.500 0.000
Rh7 0.717 0.859 0.281
Rh8 0.859 0.141 0.719
Rh9 0.859 0.717 0.719

---

Entry 3:
The following is a simulated X-ray diffraction stick pattern of GeAsS4. It was derived from DFT lattice parameters and positions (GGA-PBE), using Cu Kα (λ = 1.5418 Å).
Peak positions follow from Bragg's law for the DFT cell and can differ from measured ones.

Most intense lines, 2θ = 10–90°, in order of falling intensity:
- 2θ = 16.0°, I = 100.0
- 2θ = 22.8°, I = 47.5
- 2θ = 41.7°, I = 38.8
- 2θ = 10.2°, I = 32.3
- 2θ = 28.3°, I = 30.0
- 2θ = 11.2°, I = 25.1
- 2θ = 35.3°, I = 24.9
- 2θ = 26.5°, I = 24.1

Atomic structure:
Lattice parameters (Å, degrees): 9.453 9.453 11.161 120.05 120.05 24.56
Positions (direct):
Ge1 0.094 0.094 0.058
Ge2 0.906 0.906 0.942
As1 0.227 0.227 0.715
As2 0.773 0.773 0.285
S1 0.021 0.021 0.166
S2 0.110 0.110 0.693
S3 0.232 0.232 0.345
S4 0.340 0.340 0.958
S5 0.660 0.660 0.042
S6 0.768 0.768 0.655
S7 0.890 0.890 0.307
S8 0.979 0.979 0.834

---

Entry 4:
The following is a simulated X-ray diffraction stick pattern of Sc4GeAs3. It was derived from DFT lattice parameters and positions (GGA-PBE), using Cu Kα (λ = 1.5418 Å).
Peak positions follow from Bragg's law for the DFT cell and can differ from measured ones.

Most intense lines, 2θ = 10–90°, in order of falling intensity:
- 2θ = 32.6°, I = 100.0
- 2θ = 46.7°, I = 70.0
- 2θ = 77.7°, I = 29.2
- 2θ = 58.1°, I = 23.6
- 2θ = 86.8°, I = 22.2
- 2θ = 28.1°, I = 13.1
- 2θ = 68.2°, I = 10.7
- 2θ = 55.4°, I = 6.9

Atomic structure:
Lattice parameters (Å, degrees): 5.498 5.498 5.498 90.00 90.00 90.00
Positions (direct):
Sc1 0.000 0.000 0.000
Sc2 0.000 0.500 0.500
Sc3 0.500 0.000 0.500
Sc4 0.500 0.500 0.000
Ge1 0.500 0.500 0.500
As1 0.000 0.000 0.500
As2 0.000 0.500 0.000
As3 0.500 0.000 0.000